Starting from a structure optimized by DFT (PBE+U), the powder diffraction line list of RbCoPdF6 was calculated for Cu Kα X-rays.

Principal peaks in the range 10° ≤ 2θ ≤ 90°, by angle:
2θ/deg	intensity	index
14.4	87	0 0 1
23.4	100	0 1 -1
23.7	92	0 1 1
24.0	90	-1 1 1
33.0	45	1 -2 0
43.5	36	1 1 -2
44.6	33	-1 2 2
44.8	32	2 -1 2

Structural model:
Unit cell a=5.4293 b=5.4453 c=6.1308 alpha=90.27 beta=90.56 gamma=118.10
Fractional coordinates of all 9 atoms:
1 Rb 0.0000 0.0000 0.0000
2 Co 0.3315 0.6678 0.5013
3 Pd 0.6656 0.3372 0.5003
4 F 0.0307 0.6467 0.3144
5 F 0.3598 0.9773 0.6895
6 F 0.3700 0.3691 0.3202
7 F 0.6318 0.6338 0.6756
8 F 0.6420 0.0138 0.3281
9 F 0.9921 0.3642 0.6756